Computed powder X-ray diffraction pattern of U for Cu Kα, 1.54184 Å, from a cell relaxed with GGA-PBE.
Peak positions follow from Bragg's law for the DFT cell and can differ from measured ones.

Structural model:
```
data_U
_space_group_name_H-M_alt 'I -4 3 m'
_space_group_IT_number 217
_space_group_name_Hall 'I -4 2 3'
_cell_length_a 10.6270
_cell_length_b 10.6270
_cell_length_c 10.6270
_cell_angle_alpha 90.00
_cell_angle_beta 90.00
_cell_angle_gamma 90.00
loop_
_atom_site_label
_atom_site_fract_x
_atom_site_fract_y
_atom_site_fract_z
U1 0.0000 0.0000 0.0000
U2 0.0188 0.3609 0.6391
U3 0.0889 0.0889 0.7180
U4 0.1880 0.1880 0.1880
```

Most intense lines, 2θ = 10–90°, in order of falling intensity:
d [Å], intensity
2.505, 1000
1.446, 266
2.266, 226
2.084, 135
1.503, 121
1.252, 92
2.169, 85
1.534, 81
1.120, 52
1.174, 51